No. 1
Li4FeCo3O8: calculated PXRD pattern (Cu Ka), based on a cell relaxed with PBE+U.
Peak positions follow from Bragg's law for the DFT cell and can differ from measured ones.

Structure:
```
16
Lattice="5.014 0.000 0.000 -0.012 5.625 0.000 -0.022 -0.095 6.360" Properties=species:S:1:pos:R:3 pbc="T T T"
Li 0.000 0.000 0.000
Li -0.007 2.758 1.609
Li 2.517 0.859 4.784
Li 2.522 3.700 3.214
Fe 2.521 3.724 0.070
Co 0.024 -0.040 3.202
Co 0.024 2.748 4.752
Co 2.498 0.888 1.571
O 1.895 2.790 4.877
O 1.915 -0.038 3.115
O 2.022 5.530 0.067
O 2.039 2.670 1.544
O 4.357 3.596 6.286
O 4.410 0.867 1.695
O 4.532 0.949 4.729
O 4.544 3.771 3.259
```

Main lines, in order of falling intensity (2θ = 10–80°):
22.58°, I = 100
35.82°, I = 48
20.93°, I = 40
21.25°, I = 40
31.82°, I = 27
32.55°, I = 26
32.13°, I = 25
36.91°, I = 24
36.64°, I = 22
56.62°, I = 16

=====

No. 2
LiFe2Co2O8: calculated PXRD pattern (Cu Ka), based on a cell relaxed with PBE+U.
Peak positions follow from Bragg's law for the DFT cell and can differ from measured ones.

Structure:
```
13
Lattice="5.079 -2.861 0.000 5.079 2.861 0.000 -3.472 0.000 4.845" Properties=species:S:1:pos:R:3 pbc="T T T"
Li 0.000 0.000 0.000
Fe 5.079 0.000 0.000
Fe 3.343 0.000 2.422
Co 2.539 1.431 0.000
Co 2.539 -1.431 0.000
O 4.125 1.329 1.044
O -0.198 0.000 3.861
O 1.839 0.000 1.052
O 2.561 1.329 3.801
O 4.125 -1.329 1.044
O 4.847 0.000 3.793
O 6.884 0.000 0.983
O 2.561 -1.329 3.801
```

Main lines, in order of falling intensity (2θ = 10–80°):
18.35°, I = 100
43.86°, I = 83
18.87°, I = 61
36.49°, I = 20
63.90°, I = 15
63.64°, I = 14
36.22°, I = 10
35.62°, I = 9
38.27°, I = 9
35.72°, I = 9

=====

No. 3
Li3Fe2Co2O8: calculated PXRD pattern (Cu Ka), based on a cell relaxed with PBE+U.
Peak positions follow from Bragg's law for the DFT cell and can differ from measured ones.

Structure:
```
15
Lattice="5.072 -2.979 0.000 5.072 2.979 0.000 -3.450 0.000 4.815" Properties=species:S:1:pos:R:3 pbc="T T T"
Li 0.000 0.000 0.000
Li 0.811 1.490 2.407
Li 0.811 -1.490 2.407
Fe 2.536 1.490 0.000
Fe 2.536 -1.490 0.000
Co 5.072 0.000 0.000
Co 3.347 0.000 2.407
O 1.791 0.000 1.202
O 0.023 0.000 3.764
O 4.249 1.321 1.091
O 2.445 1.321 3.724
O 4.249 -1.321 1.091
O 2.445 -1.321 3.724
O 6.671 0.000 1.051
O 4.903 0.000 3.612
```

Main lines, in order of falling intensity (2θ = 10–80°):
18.40°, I = 100
43.07°, I = 46
63.20°, I = 24
43.92°, I = 22
35.56°, I = 15
36.00°, I = 13
35.44°, I = 12
37.23°, I = 9
37.39°, I = 8
47.57°, I = 7

=====

No. 4
Li6Fe3Co3O16: calculated PXRD pattern (Cu Ka), based on a cell relaxed with PBE+U.
Peak positions follow from Bragg's law for the DFT cell and can differ from measured ones.

Structure:
```
28
Lattice="5.720 0.000 0.000 -2.847 4.963 0.000 -0.182 -0.174 9.884" Properties=species:S:1:pos:R:3 pbc="T T T"
Li 0.000 0.000 0.000
Li -0.112 -0.033 4.951
Li -0.158 3.222 1.027
Li -0.137 3.214 4.845
Li 2.637 1.443 5.968
Li 2.622 1.425 9.844
Fe 1.186 3.910 7.735
Fe 2.709 3.205 2.797
Fe 4.123 0.751 2.804
Co -0.224 1.451 7.751
Co -1.640 3.922 7.748
Co 1.281 0.748 2.807
O 4.184 2.337 6.778
O -1.661 4.125 3.794
O -0.131 1.474 3.794
O 1.111 0.559 8.712
O -0.266 3.071 8.803
O -0.252 4.574 6.692
O 1.043 2.324 6.706
O 2.670 0.058 1.780
O 1.395 2.292 1.775
O 2.699 1.502 3.875
O 1.391 4.128 3.825
O 4.173 0.569 8.741
O 2.658 3.221 8.748
O 3.990 2.298 1.736
O 5.567 -0.018 1.800
O 2.685 4.776 6.758
```

Main lines, in order of falling intensity (2θ = 10–80°):
17.94°, I = 100
37.56°, I = 14
20.14°, I = 11
19.85°, I = 11
65.25°, I = 10
37.18°, I = 9
40.94°, I = 8
20.23°, I = 6
46.02°, I = 6
45.69°, I = 5

=====

No. 5
Li4FeCo5O12: calculated PXRD pattern (Cu Ka), based on a cell relaxed with PBE+U.
Peak positions follow from Bragg's law for the DFT cell and can differ from measured ones.

Structure:
```
22
Lattice="4.882 0.000 0.000 2.430 4.240 0.000 0.827 1.390 9.778" Properties=species:S:1:pos:R:3 pbc="T T T"
Li 0.000 0.000 0.000
Li 2.448 4.208 4.988
Li 3.277 2.803 9.776
Li 2.460 1.364 4.990
Fe 4.888 2.806 2.494
Co 2.442 4.218 2.494
Co 2.453 1.394 2.494
Co 4.087 4.204 7.383
Co 4.087 1.381 7.383
Co 6.508 2.804 7.382
O 1.647 2.798 3.519
O 0.833 1.374 1.472
O 2.470 4.196 8.383
O 0.854 1.370 6.383
O 2.431 1.426 8.384
O 3.220 2.796 6.382
O 4.061 4.239 3.518
O 3.247 2.815 1.467
O 5.697 4.237 1.467
O 4.079 1.376 3.521
O 4.898 2.771 8.393
O 5.730 4.219 6.372
```

Main lines, in order of falling intensity (2θ = 10–80°):
18.15°, I = 100
44.55°, I = 24
48.54°, I = 16
37.27°, I = 16
57.97°, I = 15
38.88°, I = 15
66.16°, I = 9
48.35°, I = 8
37.34°, I = 8
38.73°, I = 7

=====

No. 6
Li3Fe3CoO8: calculated PXRD pattern (Cu Ka), based on a cell relaxed with PBE+U.
Peak positions follow from Bragg's law for the DFT cell and can differ from measured ones.

Structure:
```
15
Lattice="2.957 1.707 4.880 -2.957 1.707 4.880 0.000 -3.415 4.880" Properties=species:S:1:pos:R:3 pbc="T T T"
Li -1.479 -0.854 4.880
Li -1.479 0.854 9.761
Li 0.000 1.707 4.880
Fe -2.957 0.000 7.320
Fe -1.479 0.854 2.440
Fe 1.479 0.854 2.440
Co 0.000 0.000 7.320
O 0.000 0.000 3.550
O -1.382 -0.798 8.373
O 0.000 -1.596 6.268
O -1.382 0.798 6.268
O 1.382 -0.798 8.373
O 0.000 1.596 8.373
O 1.382 0.798 6.268
O 0.000 0.000 11.090
```

Main lines, in order of falling intensity (2θ = 10–80°):
18.18°, I = 100
43.11°, I = 67
35.59°, I = 39
62.85°, I = 18
62.36°, I = 18
56.84°, I = 15
66.02°, I = 14
47.15°, I = 12
37.20°, I = 12
79.26°, I = 8

=====

> Which formula does entry 5 have?

Li4FeCo5O12

=====

What did the second record say?
LiFe2Co2O8: calculated PXRD pattern (Cu Ka), based on a cell relaxed with PBE+U.
Peak positions follow from Bragg's law for the DFT cell and can differ from measured ones.

Structure:
```
13
Lattice="5.079 -2.861 0.000 5.079 2.861 0.000 -3.472 0.000 4.845" Properties=species:S:1:pos:R:3 pbc="T T T"
Li 0.000 0.000 0.000
Fe 5.079 0.000 0.000
Fe 3.343 0.000 2.422
Co 2.539 1.431 0.000
Co 2.539 -1.431 0.000
O 4.125 1.329 1.044
O -0.198 0.000 3.861
O 1.839 0.000 1.052
O 2.561 1.329 3.801
O 4.125 -1.329 1.044
O 4.847 0.000 3.793
O 6.884 0.000 0.983
O 2.561 -1.329 3.801
```

Main lines, in order of falling intensity (2θ = 10–80°):
18.35°, I = 100
43.86°, I = 83
18.87°, I = 61
36.49°, I = 20
63.90°, I = 15
63.64°, I = 14
36.22°, I = 10
35.62°, I = 9
38.27°, I = 9
35.72°, I = 9